Starting from a DFT-relaxed cell (PBE, Alexandria), the PXRD pattern of Sm2ScTl was computed for Cu Kα (λ = 1.5418 Å).

Structural model:
```
Sm2ScTl
1.0
-3.346 4.297 3.953
3.346 -4.297 3.953
3.346 4.297 -3.953
Sm Sc Tl
4 2 2
direct
0.296 0.000 0.796
0.296 0.500 0.296
0.704 0.000 0.204
0.704 0.500 0.704
0.185 0.435 0.750
0.815 0.565 0.250
0.195 0.945 0.250
0.805 0.055 0.750
```

The 6 most intense peaks (10° ≤ 2θ ≤ 90°), by angle:
| Position (°2θ) | I_rel |
| --- | --- |
| 17.36 | 32.7 |
| 30.75 | 100.0 |
| 33.26 | 32.3 |
| 33.95 | 76.0 |
| 35.13 | 66.5 |
| 54.69 | 34.7 |